For Co2P2O7, a DFT-relaxed cell (GGA+U, Alexandria) gives the calculated XRD peak list in this record (Cu Kα, 1.54184 Å).
Lines closer than 0.1° are merged.

Principal peaks in the range 5 to 70 degrees two-theta, sorted by position:
d/Å  2θ (°)  I/Imax
5.082  17.5  35.4
3.197  27.9  100.0
3.034  29.4  92.3
3.023  29.5  61.2
2.881  31.0  24.6
2.617  34.3  26.7
2.576  34.8  25.1
2.115  42.8  32.1
2.066  43.8  17.7
1.582  58.3  23.3

Structural model:
```
Co2P2O7
1.0
3.533 -4.186 0.000
3.533 4.186 0.000
-2.925 0.000 8.809
Co P O
4 4 14
direct
0.144 0.782 0.523
0.218 0.856 0.977
0.782 0.144 0.023
0.856 0.218 0.477
0.297 0.321 0.293
0.321 0.297 0.793
0.679 0.703 0.207
0.703 0.679 0.707
0.112 0.417 0.385
0.131 0.142 0.641
0.142 0.131 0.141
0.211 0.496 0.881
0.417 0.112 0.885
0.425 0.575 0.250
0.496 0.211 0.381
0.504 0.789 0.619
0.575 0.425 0.750
0.583 0.888 0.115
0.789 0.504 0.119
0.858 0.869 0.859
0.869 0.858 0.359
0.888 0.583 0.615
```

=====

For Co3P4O16, a DFT-relaxed cell (GGA+U, Alexandria) gives the calculated XRD peak list in this record (Cu Kα, 1.54184 Å).
Lines closer than 0.1° are merged.

Principal peaks in the range 5 to 70 degrees two-theta, sorted by position:
d/Å  2θ (°)  I/Imax
6.766  13.1  43.1
4.564  19.4  44.4
4.295  20.7  79.4
4.106  21.6  50.7
3.986  22.3  56.5
3.914  22.7  46.8
3.646  24.4  69.1
3.581  24.9  100.0
3.383  26.3  59.2
1.859  49.0  45.4

Structural model:
```
Co3P4O16
1.0
8.305 0.000 0.000
0.000 5.175 0.000
-6.016 0.000 14.884
Co P O
6 8 32
direct
0.000 0.000 0.000
0.000 0.500 0.500
0.324 0.147 0.300
0.324 0.353 0.800
0.676 0.647 0.200
0.676 0.853 0.700
0.014 0.009 0.642
0.014 0.491 0.142
0.425 0.112 0.121
0.425 0.388 0.621
0.575 0.612 0.379
0.575 0.888 0.879
0.986 0.509 0.858
0.986 0.991 0.358
0.033 0.735 0.926
0.033 0.765 0.426
0.051 0.736 0.099
0.051 0.764 0.599
0.142 0.026 0.329
0.142 0.474 0.829
0.176 0.073 0.725
0.176 0.427 0.225
0.256 0.100 0.039
0.256 0.400 0.539
0.398 0.058 0.210
0.398 0.442 0.710
0.452 0.105 0.888
0.452 0.395 0.388
0.482 0.631 0.878
0.482 0.869 0.378
0.518 0.131 0.622
0.518 0.369 0.122
0.548 0.605 0.612
0.548 0.895 0.112
0.602 0.558 0.290
0.602 0.942 0.790
0.744 0.600 0.461
0.744 0.900 0.961
0.824 0.573 0.775
0.824 0.927 0.275
0.858 0.526 0.171
0.858 0.974 0.671
0.949 0.236 0.401
0.949 0.264 0.901
0.967 0.235 0.574
0.967 0.265 0.074
```

=====

For Co3P4O14, a DFT-relaxed cell (GGA+U, Alexandria) gives the calculated XRD peak list in this record (Cu Kα, 1.54184 Å).
Lines closer than 0.1° are merged.

Principal peaks in the range 5 to 70 degrees two-theta, sorted by position:
d/Å  2θ (°)  I/Imax
7.457  11.9  20.7
6.947  12.7  100.0
4.964  17.9  15.0
4.893  18.1  52.6
3.947  22.5  29.5
3.418  26.1  46.5
3.400  26.2  39.4
2.953  30.3  23.4
2.635  34.0  25.2
2.623  34.2  17.3

Structural model:
```
Co3P4O14
1.0
7.162 0.000 0.000
-0.733 9.373 0.000
-1.930 -2.564 8.943
Co P O
6 8 28
direct
0.000 0.000 0.000
0.000 0.500 0.500
0.045 0.037 0.685
0.045 0.537 0.185
0.522 0.018 0.342
0.523 0.519 0.843
0.191 0.818 0.444
0.193 0.318 0.944
0.215 0.733 0.978
0.217 0.233 0.479
0.828 0.804 0.206
0.830 0.304 0.707
0.853 0.719 0.741
0.854 0.219 0.241
0.018 0.871 0.341
0.022 0.371 0.840
0.023 0.666 0.845
0.026 0.166 0.344
0.148 0.644 0.399
0.150 0.144 0.899
0.165 0.378 0.106
0.166 0.878 0.606
0.189 0.673 0.109
0.190 0.173 0.609
0.222 0.406 0.523
0.222 0.905 0.023
0.380 0.878 0.424
0.383 0.379 0.926
0.383 0.686 0.914
0.386 0.187 0.416
0.658 0.850 0.269
0.662 0.351 0.771
0.663 0.658 0.759
0.665 0.159 0.261
0.823 0.631 0.162
0.824 0.132 0.662
0.855 0.364 0.576
0.855 0.864 0.076
0.879 0.159 0.079
0.879 0.659 0.579
0.896 0.393 0.286
0.896 0.893 0.786
```

=====

For CoP2O4, a DFT-relaxed cell (GGA+U, Alexandria) gives the calculated XRD peak list in this record (Cu Kα, 1.54184 Å).
Lines closer than 0.1° are merged.

Principal peaks in the range 5 to 70 degrees two-theta, sorted by position:
d/Å  2θ (°)  I/Imax
8.244  10.7  100.0
5.417  16.4  32.9
3.719  23.9  24.7
3.485  25.6  13.5
2.794  32.0  11.7
2.709  33.1  9.8
2.646  33.9  25.3
2.451  36.7  11.4
2.020  44.9  8.6
1.465  63.5  7.3

Structural model:
```
CoP2O4
1.0
6.523 0.000 0.000
0.000 5.417 0.000
0.000 0.000 8.244
Co P O
2 4 8
direct
0.000 0.000 0.000
0.500 0.000 0.000
0.250 0.000 0.342
0.250 0.500 0.857
0.750 0.000 0.658
0.750 0.500 0.143
0.055 0.000 0.239
0.250 0.268 0.965
0.250 0.732 0.965
0.445 0.000 0.239
0.555 0.000 0.761
0.750 0.268 0.035
0.750 0.732 0.035
0.945 0.000 0.761
```

=====

For CoP3O9, a DFT-relaxed cell (GGA+U, Alexandria) gives the calculated XRD peak list in this record (Cu Kα, 1.54184 Å).
Lines closer than 0.1° are merged.

Principal peaks in the range 5 to 70 degrees two-theta, sorted by position:
d/Å  2θ (°)  I/Imax
6.693  13.2  84.9
4.919  18.0  100.0
4.687  18.9  32.4
3.320  26.9  35.2
3.134  28.5  44.7
3.106  28.7  28.6
3.051  29.3  30.6
2.922  30.6  31.3
2.804  31.9  60.6
2.766  32.4  60.9

Structural model:
```
CoP3O9
1.0
6.672 0.000 0.000
-0.458 6.860 0.000
-0.461 -1.608 7.162
Co P O
2 6 18
direct
0.158 0.095 0.359
0.842 0.905 0.641
0.145 0.202 0.944
0.334 0.444 0.701
0.336 0.884 0.699
0.664 0.116 0.301
0.666 0.556 0.299
0.855 0.798 0.056
0.051 0.860 0.181
0.127 0.246 0.150
0.170 0.918 0.559
0.182 0.333 0.541
0.251 0.395 0.893
0.281 0.674 0.746
0.301 0.032 0.895
0.449 0.081 0.336
0.452 0.586 0.312
0.548 0.414 0.688
0.551 0.919 0.664
0.699 0.968 0.105
0.719 0.326 0.254
0.749 0.605 0.107
0.818 0.667 0.459
0.830 0.082 0.441
0.873 0.754 0.850
0.949 0.140 0.819
```

=====

For Co5P8O28, a DFT-relaxed cell (GGA+U, Alexandria) gives the calculated XRD peak list in this record (Cu Kα, 1.54184 Å).
Lines closer than 0.1° are merged.

Principal peaks in the range 5 to 70 degrees two-theta, sorted by position:
d/Å  2θ (°)  I/Imax
9.686  9.1  74.5
5.133  17.3  80.6
5.023  17.7  100.0
4.159  21.4  38.8
3.763  23.6  45.9
3.539  25.2  65.4
3.371  26.4  55.2
3.285  27.1  75.4
3.272  27.3  45.0
3.229  27.6  86.6

Structural model:
```
Co5P8O28
1.0
7.538 0.000 0.000
0.427 7.775 0.000
0.286 3.375 9.686
Co P O
5 8 28
direct
0.000 0.000 0.000
0.236 0.375 0.394
0.267 0.331 0.935
0.733 0.669 0.065
0.764 0.625 0.606
0.038 0.256 0.690
0.199 0.053 0.259
0.337 0.707 0.978
0.347 0.690 0.694
0.653 0.310 0.306
0.663 0.293 0.022
0.801 0.947 0.741
0.962 0.744 0.310
0.031 0.929 0.320
0.114 0.200 0.839
0.119 0.606 0.329
0.161 0.213 0.314
0.163 0.129 0.098
0.184 0.837 0.990
0.186 0.311 0.582
0.230 0.527 0.763
0.257 0.842 0.582
0.281 0.509 0.032
0.372 0.947 0.293
0.399 0.761 0.821
0.475 0.383 0.351
0.497 0.742 0.056
0.503 0.258 0.944
0.525 0.617 0.649
0.601 0.239 0.179
0.628 0.053 0.707
0.719 0.491 0.968
0.743 0.158 0.418
0.770 0.473 0.237
0.814 0.689 0.418
0.816 0.163 0.010
0.837 0.871 0.902
0.839 0.787 0.686
0.881 0.394 0.671
0.886 0.800 0.161
0.969 0.071 0.680
```